Starting from a GGA-PBE-relaxed structure, the X-ray diffraction stick pattern of Rb3PmTh3Te8 was computed for λ = 1.5418 Å (Cu Kα).
Intensities are scaled so that the largest is 100.

Top 8 peaks for 10° ≤ 2θ ≤ 90°, by angle:
d 3.360, 26.53°, intensity 100; d 2.718, 32.95°, intensity 18; d 2.527, 35.52°, intensity 38; d 2.249, 40.09°, intensity 35; d 2.053, 44.12°, intensity 13; d 1.869, 48.72°, intensity 19; d 1.578, 58.50°, intensity 13; d 1.437, 64.87°, intensity 16

Crystal structure
Lattice parameters (Å, degrees): 10.267 10.267 10.267 51.97 51.97 51.97
Element x y z (fractional)
Rb (0.000, 0.500, 0.500)
Rb (0.500, 0.000, 0.500)
Rb (0.500, 0.500, 0.000)
Pm (0.500, 0.500, 0.500)
Th (0.000, 0.000, 0.500)
Th (0.000, 0.500, 0.000)
Th (0.500, 0.000, 0.000)
Te (0.231, 0.737, 0.737)
Te (0.237, 0.237, 0.237)
Te (0.263, 0.263, 0.769)
Te (0.263, 0.769, 0.263)
Te (0.737, 0.231, 0.737)
Te (0.737, 0.737, 0.231)
Te (0.763, 0.763, 0.763)
Te (0.769, 0.263, 0.263)

---

Starting from a GGA-PBE-relaxed structure, the X-ray diffraction stick pattern of Rb4Pm3YTe8 was computed for λ = 1.5418 Å (Cu Kα).
Intensities are scaled so that the largest is 100.

Top 8 peaks for 10° ≤ 2θ ≤ 90°, by angle:
d 8.566, 10.33°, intensity 20; d 3.386, 26.32°, intensity 100; d 2.700, 33.18°, intensity 11; d 2.501, 35.91°, intensity 34; d 2.300, 39.17°, intensity 37; d 1.902, 47.81°, intensity 19; d 1.693, 54.18°, intensity 10; d 1.466, 63.46°, intensity 16

Crystal structure
Lattice parameters (Å, degrees): 10.079 10.079 10.079 54.30 54.30 54.30
Element x y z (fractional)
Rb (0.000, 0.000, 0.000)
Rb (0.000, 0.500, 0.500)
Rb (0.500, 0.000, 0.500)
Rb (0.500, 0.500, 0.000)
Pm (0.000, 0.000, 0.500)
Pm (0.000, 0.500, 0.000)
Pm (0.500, 0.000, 0.000)
Y (0.500, 0.500, 0.500)
Te (0.235, 0.235, 0.235)
Te (0.239, 0.732, 0.732)
Te (0.268, 0.268, 0.761)
Te (0.268, 0.761, 0.268)
Te (0.732, 0.239, 0.732)
Te (0.732, 0.732, 0.239)
Te (0.761, 0.268, 0.268)
Te (0.765, 0.765, 0.765)

---

Starting from a GGA-PBE-relaxed structure, the X-ray diffraction stick pattern of Pm4Re was computed for λ = 1.5418 Å (Cu Kα).
Intensities are scaled so that the largest is 100.

Top 8 peaks for 10° ≤ 2θ ≤ 90°, by angle:
d 5.571, 15.91°, intensity 31; d 3.939, 22.57°, intensity 27; d 3.216, 27.73°, intensity 54; d 2.786, 32.13°, intensity 100; d 1.970, 46.08°, intensity 74; d 1.608, 57.29°, intensity 26; d 1.246, 76.46°, intensity 33; d 1.137, 85.36°, intensity 25

Crystal structure
Lattice parameters (Å, degrees): 5.571 5.571 5.571 90.00 90.00 90.00
Element x y z (fractional)
Pm (0.000, 0.000, 0.000)
Pm (0.000, 0.500, 0.500)
Pm (0.500, 0.000, 0.500)
Pm (0.500, 0.500, 0.000)
Re (0.500, 0.500, 0.500)

---

Starting from a GGA-PBE-relaxed structure, the X-ray diffraction stick pattern of PmRe2 was computed for λ = 1.5418 Å (Cu Kα).
Intensities are scaled so that the largest is 100.

Top 8 peaks for 10° ≤ 2θ ≤ 90°, by angle:
d 4.482, 19.81°, intensity 13; d 2.745, 32.62°, intensity 20; d 2.341, 38.46°, intensity 100; d 2.241, 40.24°, intensity 48; d 1.494, 62.13°, intensity 33; d 1.372, 68.35°, intensity 30; d 1.184, 81.26°, intensity 12; d 1.170, 82.40°, intensity 19

Crystal structure
Lattice parameters (Å, degrees): 5.489 5.489 5.489 60.00 60.00 60.00
Element x y z (fractional)
Pm (0.125, 0.125, 0.125)
Pm (0.875, 0.875, 0.875)
Re (0.000, 0.500, 0.500)
Re (0.500, 0.000, 0.500)
Re (0.500, 0.500, 0.000)
Re (0.500, 0.500, 0.500)